This entry pairs a crystal structure of CsMnBr3O2 with its simulated XRD peak list. Radiation: Cu Kα X-rays. Structure: a cell relaxed with PBE+U.
Kinematic intensities with the Lorentz-polarization factor, no thermal factor.

Largest 10 diffraction maxima, sorted by position, 15 to 90 degrees two-theta:
two_theta, I (rel.), hkl
16.35, 20, 1 0 2
16.74, 22, 1 1 1
26.69, 26, 0 0 4
29.32, 100, 1 2 2
31.00, 23, 2 2 0
31.91, 49, 3 0 2
33.05, 22, 2 0 4
41.36, 26, 2 2 4
46.29, 19, 4 2 0
48.78, 19, 1 2 6

```
data_CsMnBr3O2
_symmetry_space_group_name_H-M 'P c c a'
_symmetry_Int_Tables_number 54
_cell_length_a 9.269
_cell_length_b 7.367
_cell_length_c 13.362
_cell_angle_alpha 90.00
_cell_angle_beta 90.00
_cell_angle_gamma 90.00
loop_
_symmetry_equiv_pos_as_xyz
'x,y,z'
'-x,-y,-z'
'-x+1/2,-y,z'
'x+1/2,y,-z'
'x+1/2,-y,-z+1/2'
'-x+1/2,y,z+1/2'
'-x,y,-z+1/2'
'x,-y,z+1/2'
loop_
_atom_site_label
_atom_site_fract_x
_atom_site_fract_y
_atom_site_fract_z
_atom_site_occupancy
Cs1 0.250 0.000 0.117 1
Mn1 0.000 0.450 0.250 1
Br1 0.110 0.232 0.367 1
Br2 0.250 0.500 0.136 1
O1 0.027 0.284 0.796 1
```